[1]
Structure and simulated X-ray diffraction stick pattern of LaH2IO2 (a cell relaxed with GGA-PBE; Cu Kα (weighted mean of Kα1 and Kα2)).
Peak positions follow from Bragg's law for the DFT cell and can differ from measured ones.

Most intense lines, 2θ = 5–70°, sorted by position:
index	2θ/deg	I_rel
0 0 1	12.14	100
0 1 1	24.04	78
1 1 -1	24.61	39
2 0 0	25.18	64
1 1 -2	30.50	60
2 1 -1	30.96	67
1 0 -3	33.51	43
1 1 2	38.45	43

Crystal structure
Cell lengths 7.817, 4.297, 8.056 Å; angles 90.00, 115.19, 90.00 degrees
Space group P2_1/m (No. 11)
Symmetry-distinct sites (fractional):
La1 0.203 0.250 0.057
H1 0.291 0.069 0.474
I1 0.296 0.750 0.755
O1 0.117 0.750 0.098
O2 0.302 0.250 0.404

***

[2]
Structure and simulated X-ray diffraction stick pattern of Te6IrCl3 (a cell relaxed with GGA-PBE; Cu Kα (weighted mean of Kα1 and Kα2)).
Peak positions follow from Bragg's law for the DFT cell and can differ from measured ones.

Most intense lines, 2θ = 5–70°, sorted by position:
index	2θ/deg	I_rel
1 1 0	11.75	100
2 0 2	22.50	16
3 1 2	30.56	88
5 0 2	38.99	19
5 2 0	43.31	10
1 3 4	44.23	31
4 4 0	48.33	21
0 7 2	52.43	10

Crystal structure
Cell lengths 15.0659, 15.0659, 9.9359 Å; angles 90.00, 90.00, 120.00 degrees
Space group R-3c (No. 167, hexagonal axes)
Symmetry-distinct sites (fractional):
Te1 0.0777 0.1691 0.0957
Ir1 0.0000 0.0000 0.2500
Cl1 0.0000 0.2576 0.7500

***

[3]
Structure and simulated X-ray diffraction stick pattern of SmThAs2 (a cell relaxed with GGA-PBE; Cu Kα (weighted mean of Kα1 and Kα2)).
Peak positions follow from Bragg's law for the DFT cell and can differ from measured ones.

Most intense lines, 2θ = 5–70°, sorted by position:
index	2θ/deg	I_rel
0 1 2	25.74	24
0 0 6	25.85	8
1 0 4	29.84	100
1 1 0	42.64	38
0 1 8	42.78	38
2 0 2	50.52	12
0 2 4	52.92	20
2 0 8	61.99	13

Crystal structure
Cell lengths 4.2403, 4.2403, 20.6814 Å; angles 90.00, 90.00, 120.00 degrees
Space group R-3m (No. 166, hexagonal axes)
Symmetry-distinct sites (fractional):
Sm1 0.0000 0.0000 0.0000
Th1 0.0000 0.0000 0.5000
As1 0.0000 0.0000 0.2502

***

[4]
Structure and simulated X-ray diffraction stick pattern of TlFe4Sb12 (a cell relaxed with GGA-PBE; Cu Kα (weighted mean of Kα1 and Kα2)).
Peak positions follow from Bragg's law for the DFT cell and can differ from measured ones.

Most intense lines, 2θ = 5–70°, sorted by position:
index	2θ/deg	I_rel
3 0 1	30.61	100
3 1 2	36.40	55
4 2 2	48.28	24
4 3 1	50.39	25
5 3 0	58.26	16
6 0 0	60.12	13
5 2 3	61.94	9
6 1 3	68.97	19

Crystal structure
Cell lengths 9.235, 9.235, 9.235 Å; angles 90.00, 90.00, 90.00 degrees
Space group Im-3 (No. 204)
Symmetry-distinct sites (fractional):
Tl1 0.000 0.000 0.000
Fe1 0.250 0.250 0.250
Sb1 0.000 0.335 0.162

***

[5]
Structure and simulated X-ray diffraction stick pattern of CeDyZn4 (a cell relaxed with GGA-PBE; Cu Kα (weighted mean of Kα1 and Kα2)).
Peak positions follow from Bragg's law for the DFT cell and can differ from measured ones.

Most intense lines, 2θ = 5–70°, sorted by position:
index	2θ/deg	I_rel
1 0 1	22.59	18
1 2 1	34.52	100
0 2 2	34.69	49
2 0 0	39.51	30
1 0 3	39.95	59
2 2 2	53.57	28
0 2 4	54.04	14
1 4 3	68.34	22

Crystal structure
Cell lengths 4.561, 6.918, 7.789 Å; angles 90.00, 90.00, 90.00 degrees
Space group Immm (No. 71)
Symmetry-distinct sites (fractional):
Ce1 0.000 0.000 0.000
Dy1 0.000 0.500 0.000
Zn1 0.000 0.264 0.333

***

[6]
Structure and simulated X-ray diffraction stick pattern of V4S (a cell relaxed with GGA-PBE; Cu Kα (weighted mean of Kα1 and Kα2)).
Peak positions follow from Bragg's law for the DFT cell and can differ from measured ones.

Most intense lines, 2θ = 5–70°, sorted by position:
index	2θ/deg	I_rel
1 0 0	20.80	14
1 1 0	29.59	11
1 1 1	36.45	100
2 0 0	42.34	92
2 1 0	47.62	5
2 1 1	52.50	4
2 2 0	61.42	54
3 0 0	65.59	2

Crystal structure
Cell lengths 4.270, 4.270, 4.270 Å; angles 90.00, 90.00, 90.00 degrees
Space group Pm-3m (No. 221)
Symmetry-distinct sites (fractional):
V1 0.000 0.000 0.000
V2 0.000 0.500 0.500
S1 0.500 0.500 0.500